Record 1
ZrSn2: calculated X-ray powder pattern (Cu Kα), based on a cell relaxed with PBE.

Top 6 peaks for 2θ = 15–90°, by angle:
Position (°2θ), I (rel.)
33.0, 100
35.9, 40
36.1, 79
42.0, 52
56.4, 22
56.7, 22

Cell: 6.966 5.761 5.636 Å, 75.35 53.14 51.52°
Positions (direct):
Zr  0.125  0.125  0.125
Zr  0.875  0.875  0.875
Sn  0.206  0.544  0.206
Sn  0.456  0.794  0.456
Sn  0.544  0.206  0.544
Sn  0.794  0.456  0.794



Record 2
Zr10Sn7: calculated X-ray powder pattern (Cu Kα), based on a cell relaxed with PBE.

Top 6 peaks for 2θ = 15–90°, by angle:
Position (°2θ), I (rel.)
34.9, 73
35.7, 88
36.7, 100
46.0, 25
52.1, 24
74.3, 20

Cell: 8.721 8.721 5.921 Å, 90.00 90.00 120.00°
Positions (direct):
Zr  0.000  0.272  0.235
Zr  0.000  0.728  0.765
Zr  0.272  0.000  0.235
Zr  0.272  0.272  0.765
Zr  0.333  0.667  0.000
Zr  0.333  0.667  0.500
Zr  0.667  0.333  0.000
Zr  0.667  0.333  0.500
Zr  0.728  0.000  0.765
Zr  0.728  0.728  0.235
Sn  0.000  0.000  0.500
Sn  0.000  0.385  0.745
Sn  0.000  0.615  0.255
Sn  0.385  0.000  0.745
Sn  0.385  0.385  0.255
Sn  0.615  0.000  0.255
Sn  0.615  0.615  0.745



Record 3
Zr5Sn: calculated X-ray powder pattern (Cu Kα), based on a cell relaxed with PBE.

Top 6 peaks for 2θ = 15–90°, by angle:
Position (°2θ), I (rel.)
32.2, 24
34.9, 26
36.7, 100
57.3, 18
63.7, 19
68.9, 20

Cell: 5.567 5.567 5.147 Å, 90.00 90.00 120.00°
Positions (direct):
Zr  0.000  0.323  0.000
Zr  0.323  0.000  0.000
Zr  0.333  0.667  0.500
Zr  0.667  0.333  0.500
Zr  0.677  0.677  0.000
Sn  0.000  0.000  0.500



Record 4
Sr3Ta: calculated X-ray powder pattern (Cu Kα), based on a cell relaxed with PBE.

Top 6 peaks for 2θ = 15–90°, by angle:
Position (°2θ), I (rel.)
28.8, 100
33.2, 34
33.7, 16
48.0, 24
56.6, 30
57.3, 15

Cell: 6.543 6.543 6.543 Å, 131.26 131.26 71.40°
Positions (direct):
Sr  0.000  0.000  0.000
Sr  0.250  0.750  0.500
Sr  0.750  0.250  0.500
Ta  0.500  0.500  0.000



Record 5
SrTb: calculated X-ray powder pattern (Cu Kα), based on a cell relaxed with PBE.

Top 6 peaks for 2θ = 15–90°, by angle:
Position (°2θ), I (rel.)
27.0, 27
28.1, 27
30.5, 100
39.3, 20
51.2, 23
56.2, 23

Cell: 3.815 3.815 6.358 Å, 90.00 90.00 120.00°
Positions (direct):
Sr  0.000  0.000  0.000
Tb  0.667  0.333  0.500



Record 6
SrTb3: calculated X-ray powder pattern (Cu Kα), based on a cell relaxed with PBE.

Top 6 peaks for 2θ = 15–90°, by angle:
Position (°2θ), I (rel.)
29.7, 100
34.3, 17
34.5, 34
49.4, 24
58.6, 15
58.8, 29

Cell: 6.393 6.393 6.393 Å, 131.96 131.96 70.30°
Positions (direct):
Sr  0.000  0.000  0.000
Tb  0.250  0.750  0.500
Tb  0.500  0.500  0.000
Tb  0.750  0.250  0.500



Please write out number 3 again, unchanged.
Zr5Sn: calculated X-ray powder pattern (Cu Kα), based on a cell relaxed with PBE.

Top 6 peaks for 2θ = 15–90°, by angle:
Position (°2θ), I (rel.)
32.2, 24
34.9, 26
36.7, 100
57.3, 18
63.7, 19
68.9, 20

Cell: 5.567 5.567 5.147 Å, 90.00 90.00 120.00°
Positions (direct):
Zr  0.000  0.323  0.000
Zr  0.323  0.000  0.000
Zr  0.333  0.667  0.500
Zr  0.667  0.333  0.500
Zr  0.677  0.677  0.000
Sn  0.000  0.000  0.500